Ta2CuO6: calculated X-ray powder pattern (Cu Kα (weighted mean of Kα1 and Kα2)), based on a cell relaxed with PBE.
Peak positions follow from Bragg's law for the DFT cell and can differ from measured ones.

The 10 most intense peaks (2θ = 10–90°), low angle first:
2theta  I/Imax
23.3  100
31.8  27
32.4  52
34.0  40
34.7  19
47.6  12
47.8  23
55.9  11
59.2  10
61.8  11

Cell and atoms:
```
Ta2CuO6
1.0
4.5917 -2.5855 0.0000
4.5917 2.5855 0.0000
-3.1270 0.0000 4.6946
Ta Cu O
2 1 6
direct
0.2459 0.2459 0.2382
0.7541 0.7541 0.7618
0.9837 0.0163 0.5000
0.0124 0.3681 0.5042
0.0942 0.9058 0.0000
0.3653 0.6347 0.5000
0.5108 0.0931 0.0102
0.6319 0.9876 0.4958
0.9069 0.4892 0.9898
```